Starting from a structure optimized by DFT (GGA+U), the powder diffractogram of CaMo2O4 was calculated for Cu Kα (λ = 1.5418 Å).
Lines closer than 0.1° are merged.

Main lines, by intensity (10 to 80 degrees two-theta):
| 2theta | Rel. int. |
| --- | --- |
| 31.93 | 100.0 |
| 16.00 | 98.9 |
| 38.36 | 68.6 |
| 31.17 | 58.4 |
| 56.02 | 50.7 |
| 31.68 | 50.4 |

Cell and atoms:
```
CaMo2O4
1.0
3.283 1.895 5.540
-3.283 1.895 5.540
0.000 -3.791 5.540
Ca Mo O
2 4 8
Direct
0.000 0.000 0.000
0.368 0.368 0.368
0.374 0.374 0.875
0.374 0.875 0.374
0.791 0.791 0.791
0.875 0.374 0.374
0.122 0.122 0.583
0.122 0.583 0.122
0.139 0.139 0.139
0.149 0.620 0.620
0.583 0.122 0.122
0.601 0.601 0.601
0.620 0.149 0.620
0.620 0.620 0.149
```